# AlNi4As3
Calculated PXRD pattern, CuKα. Input: a GGA-PBE-relaxed structure.
Peak positions follow from Bragg's law for the DFT cell and can differ from measured ones.

Most intense lines, 2θ from 10° to 90°, in order of falling intensity:
2θ (°)	Rel. int.	hkl
46.5	100.0	1 0 4
33.7	84.0	1 0 2
50.1	70.3	1 1 0
70.8	26.5	2 0 4
28.3	25.5	1 0 0
61.8	14.1	2 0 2

Cell and atoms:
```
8
Lattice="3.639 0.000 0.000 -1.820 3.152 0.000 0.000 0.000 9.946" Properties=species:S:1:pos:R:3 pbc="T T T"
Al 0.000 0.000 0.000
Ni 0.000 2.101 1.261
Ni 0.000 2.101 3.721
Ni 0.000 2.101 6.225
Ni 0.000 2.101 8.685
As 0.000 0.000 4.973
As 1.820 1.051 2.420
As 1.820 1.051 7.526
```